This entry pairs a crystal structure of Na2Cr2O7 with its computed X-ray powder pattern. Radiation: CuKα. Structure: a PBE+U-relaxed structure.

Most intense lines, 2θ = 10–90°, sorted by position:
index, two_theta, d/Å, I (rel.)
1 1 1, 17.7, 5.001, 87
1 -1 0, 19.8, 4.486, 51
0 0 2, 26.3, 3.390, 78
2 1 1, 26.7, 3.340, 100
0 2 1, 28.0, 3.187, 71
1 -1 2, 28.2, 3.168, 65

Cell and atoms:
```
22
Lattice="7.108 0.000 0.000 1.000 7.077 0.000 3.325 0.265 6.780" Properties=species:S:1:pos:R:3 pbc="T T T"
Na 1.824 1.230 1.799
Na 4.534 2.723 4.434
Na 6.899 4.619 2.346
Na 9.608 6.112 4.981
Cr 3.192 4.725 1.683
Cr 6.169 6.345 5.501
Cr 5.263 0.997 1.279
Cr 8.241 2.617 5.097
O 2.628 6.021 2.505
O 1.983 3.618 1.598
O 4.784 5.557 5.165
O 4.867 0.821 5.938
O 4.505 4.104 2.432
O 4.233 1.060 2.549
O 3.687 5.253 0.065
O 7.745 2.089 6.715
O 7.200 6.283 4.231
O 6.927 3.239 4.348
O 6.566 6.522 0.842
O 6.648 1.786 1.615
O 9.449 3.725 5.182
O 8.804 1.322 4.275
```